Diffraction record for LiFeP4O12. The powder XRD pattern is simulated, not measured: it uses a cell relaxed with GGA+U and Cu Kα (weighted mean of Kα1 and Kα2).

Structural model:
a b c (Å): 8.544 8.544 7.770
angles (deg): 97.71 97.71 113.19
Atoms (fractional coordinates):
Li 0.155 0.845 0.500
Li 0.845 0.155 0.000
Fe 0.528 0.784 0.966
Fe 0.784 0.528 0.466
P 0.084 0.427 0.380
P 0.247 0.895 0.120
P 0.427 0.084 0.880
P 0.460 0.620 0.542
P 0.620 0.460 0.042
P 0.724 0.875 0.388
P 0.875 0.724 0.888
P 0.895 0.247 0.620
O 0.026 0.576 0.415
O 0.046 0.843 0.031
O 0.076 0.342 0.555
O 0.262 0.931 0.314
O 0.290 0.515 0.390
O 0.293 0.998 0.716
O 0.305 0.764 0.031
O 0.342 0.076 0.055
O 0.408 0.667 0.712
O 0.515 0.290 0.890
O 0.516 0.567 0.042
O 0.552 0.794 0.469
O 0.567 0.516 0.542
O 0.576 0.026 0.915
O 0.667 0.408 0.212
O 0.673 0.920 0.215
O 0.760 0.821 0.890
O 0.764 0.305 0.531
O 0.794 0.552 0.969
O 0.821 0.760 0.390
O 0.843 0.046 0.531
O 0.920 0.673 0.715
O 0.931 0.262 0.814
O 0.998 0.293 0.216

Principal peaks in the range 15° ≤ 2θ ≤ 90°, sorted by position:
- 17.12°, I = 42
- 18.10°, I = 90
- 19.46°, I = 47
- 23.61°, I = 53
- 23.73°, I = 100
- 24.97°, I = 74
- 26.77°, I = 25
- 28.44°, I = 36
- 29.98°, I = 27
- 34.36°, I = 33
- 34.59°, I = 38
- 38.21°, I = 28